(1)
Structure and simulated XRD peak list of BePH4NO4 (a cell relaxed with GGA-PBE; Cu Kα, 1.54184 Å).
Neutral-atom scattering factors, no anomalous dispersion.

Structural model:
a b c (Å): 8.7742 8.7022 4.9835
angles (deg): 90.00 90.00 90.00
Positions (direct):
Be1 0.1742 0.0933 0.0000
Be2 0.3258 0.5933 0.5000
Be3 0.6742 0.4067 0.0000
Be4 0.8258 0.9067 0.5000
P1 0.1845 0.9143 0.4999
P2 0.3155 0.4143 0.9999
P3 0.6845 0.5857 0.4999
P4 0.8155 0.0857 0.9999
H1 0.0080 0.2107 0.3715
H2 0.0124 0.2798 0.6851
H3 0.0988 0.3757 0.4288
H4 0.0986 0.6349 0.9429
H5 0.4014 0.1349 0.4429
H6 0.4012 0.8757 0.9288
H7 0.4876 0.7798 0.1851
H8 0.4920 0.7107 0.8715
H9 0.5080 0.2893 0.3715
H10 0.5124 0.2202 0.6851
H11 0.5988 0.1243 0.4288
H12 0.5986 0.8651 0.9429
H13 0.9014 0.3651 0.4429
H14 0.9012 0.6243 0.9288
H15 0.9876 0.7202 0.1851
H16 0.9920 0.7893 0.8715
N1 0.0043 0.3096 0.4854
N2 0.4957 0.8096 0.9854
N3 0.5043 0.1904 0.4854
N4 0.9957 0.6904 0.9854
O1 0.0108 0.8906 0.4937
O2 0.2331 0.0434 0.3010
O3 0.2365 0.9640 0.7860
O4 0.2368 0.2634 0.9224
O5 0.2632 0.7634 0.4224
O6 0.2635 0.4640 0.2860
O7 0.2669 0.5434 0.8010
O8 0.4892 0.3906 0.9937
O9 0.5108 0.6094 0.4937
O10 0.7331 0.4566 0.3010
O11 0.7365 0.5360 0.7860
O12 0.7368 0.2366 0.9224
O13 0.7632 0.7366 0.4224
O14 0.7635 0.0360 0.2860
O15 0.7669 0.9566 0.8010
O16 0.9892 0.1094 0.9937

Top 10 peaks for 10° ≤ 2θ ≤ 90°, by angle:
hkl 1 1 0, 14.3 deg, intensity 91.2
hkl 2 0 0, 20.2 deg, intensity 60.9
hkl 0 1 1, 20.5 deg, intensity 49.6
hkl 1 2 0, 22.8 deg, intensity 28.6
hkl 1 1 1, 22.9 deg, intensity 58.7
hkl 2 2 0, 29.0 deg, intensity 88.6
hkl 1 2 1, 29.1 deg, intensity 100.0
hkl 0 3 1, 35.8 deg, intensity 34.4
hkl 0 0 2, 36.0 deg, intensity 29.3
hkl 4 0 0, 41.2 deg, intensity 25.5

=====

(2)
Structure and simulated XRD peak list of NaBeH3 (a cell relaxed with GGA-PBE; Cu Kα, 1.54184 Å).
Neutral-atom scattering factors, no anomalous dispersion.

Structural model:
a b c (Å): 3.3429 3.3429 3.3429
angles (deg): 90.00 90.00 90.00
Positions (direct):
Na1 0.0000 0.0000 0.0000
Be1 0.5000 0.5000 0.5000
H1 0.0000 0.5000 0.5000
H2 0.5000 0.0000 0.5000
H3 0.5000 0.5000 0.0000

Top 8 peaks for 10° ≤ 2θ ≤ 90°, by angle:
hkl 1 0 0, 26.7 deg, intensity 40.3
hkl 1 1 0, 38.1 deg, intensity 100.0
hkl 1 1 1, 47.1 deg, intensity 19.6
hkl 2 0 0, 54.9 deg, intensity 20.4
hkl 2 1 0, 62.1 deg, intensity 15.0
hkl 2 1 1, 68.8 deg, intensity 31.1
hkl 2 2 0, 81.4 deg, intensity 10.4
hkl 3 0 0, 87.6 deg, intensity 5.2

=====

(3)
Structure and simulated XRD peak list of BePH3O5 (a cell relaxed with GGA-PBE; Cu Kα, 1.54184 Å).
Neutral-atom scattering factors, no anomalous dispersion.

Structural model:
a b c (Å): 8.7052 8.9484 5.1685
angles (deg): 90.00 90.00 90.00
Positions (direct):
Be1 0.1665 0.1007 0.0000
Be2 0.3335 0.6007 0.5000
Be3 0.6665 0.3993 0.0000
Be4 0.8335 0.8993 0.5000
P1 0.1873 0.9167 0.4655
P2 0.3127 0.4167 0.9655
P3 0.6873 0.5833 0.4655
P4 0.8127 0.0833 0.9655
H1 0.0148 0.2768 0.7193
H2 0.0585 0.3847 0.4957
H3 0.1578 0.5788 0.1561
H4 0.3422 0.0788 0.6561
H5 0.4415 0.8847 0.9957
H6 0.4852 0.7768 0.2193
H7 0.5148 0.2232 0.7193
H8 0.5585 0.1153 0.4957
H9 0.6578 0.9212 0.1561
H10 0.8422 0.4212 0.6561
H11 0.9415 0.6153 0.9957
H12 0.9852 0.7232 0.2193
O1 0.0152 0.8970 0.4866
O2 0.0286 0.6690 0.0717
O3 0.2280 0.2685 0.9746
O4 0.2384 0.0070 0.2303
O5 0.2448 0.0150 0.7134
O6 0.2552 0.5150 0.2134
O7 0.2616 0.5070 0.7303
O8 0.2720 0.7685 0.4746
O9 0.4714 0.1690 0.5717
O10 0.4848 0.3970 0.9866
O11 0.5152 0.6030 0.4866
O12 0.5286 0.8310 0.0717
O13 0.7280 0.2315 0.9746
O14 0.7384 0.4930 0.2303
O15 0.7448 0.4850 0.7134
O16 0.7552 0.9850 0.2134
O17 0.7616 0.9930 0.7303
O18 0.7720 0.7315 0.4746
O19 0.9714 0.3310 0.5717
O20 0.9848 0.1030 0.9866

Top 10 peaks for 10° ≤ 2θ ≤ 90°, by angle:
hkl 1 1 0, 14.2 deg, intensity 42.2
hkl 0 1 1, 19.8 deg, intensity 100.0
hkl 2 0 0, 20.4 deg, intensity 46.0
hkl 1 1 1, 22.3 deg, intensity 73.3
hkl 1 2 1, 28.3 deg, intensity 88.6
hkl 2 2 0, 28.6 deg, intensity 72.4
hkl 0 0 2, 34.7 deg, intensity 28.2
hkl 4 0 0, 41.5 deg, intensity 17.8
hkl 2 4 0, 45.6 deg, intensity 28.8
hkl 0 4 2, 54.2 deg, intensity 19.0